Entry 1:
The following is a simulated powder XRD pattern of Dy6TlNi2. It was derived from a GGA-PBE-relaxed structure, using copper Kα.
Peak positions follow from Bragg's law for the DFT cell and can differ from measured ones.

Atomic structure:
abc: 8.436 8.436 8.436
angles: 112.86 109.25 106.36
Atoms (fractional coordinates):
1 Dy 0.027 0.232 0.795
2 Dy 0.183 0.293 0.476
3 Dy 0.183 0.707 0.890
4 Dy 0.325 0.017 0.692
5 Dy 0.325 0.632 0.308
6 Dy 0.437 0.232 0.205
7 Dy 0.563 0.768 0.795
8 Dy 0.675 0.368 0.692
9 Dy 0.675 0.983 0.308
10 Dy 0.817 0.293 0.110
11 Dy 0.817 0.707 0.524
12 Dy 0.973 0.768 0.205
13 Tl 0.000 0.000 0.000
14 Tl 0.500 0.500 0.000
15 Ni 0.123 0.623 0.500
16 Ni 0.357 0.000 0.357
17 Ni 0.643 0.000 0.643
18 Ni 0.877 0.377 0.500

The 10 most intense peaks (2θ = 5–70°), in order of rising 2θ:
- 28.81°, d = 3.099 Å, I = 14.8
- 30.15°, d = 2.964 Å, I = 32.7
- 31.89°, d = 2.806 Å, I = 100.0
- 34.12°, d = 2.628 Å, I = 87.0
- 34.75°, d = 2.581 Å, I = 26.8
- 35.35°, d = 2.539 Å, I = 17.8
- 35.51°, d = 2.528 Å, I = 15.9
- 38.60°, d = 2.332 Å, I = 17.5
- 55.56°, d = 1.654 Å, I = 15.8
- 60.00°, d = 1.542 Å, I = 26.1

Entry 2:
The following is a simulated powder XRD pattern of DyTm6Ni3. It was derived from a GGA-PBE-relaxed structure, using copper Kα.
Peak positions follow from Bragg's law for the DFT cell and can differ from measured ones.

Atomic structure:
abc: 8.367 8.367 6.992
angles: 90.00 90.00 99.87
Atoms (fractional coordinates):
1 Dy 0.181 0.819 0.500
2 Dy 0.819 0.181 0.000
3 Tm 0.082 0.464 0.731
4 Tm 0.130 0.205 0.378
5 Tm 0.205 0.130 0.878
6 Tm 0.274 0.726 0.040
7 Tm 0.464 0.082 0.231
8 Tm 0.469 0.531 0.383
9 Tm 0.531 0.469 0.883
10 Tm 0.536 0.918 0.731
11 Tm 0.726 0.274 0.540
12 Tm 0.795 0.870 0.378
13 Tm 0.870 0.795 0.878
14 Tm 0.918 0.536 0.231
15 Ni 0.082 0.918 0.169
16 Ni 0.197 0.412 0.093
17 Ni 0.412 0.197 0.593
18 Ni 0.588 0.803 0.093
19 Ni 0.803 0.588 0.593
20 Ni 0.918 0.082 0.669

The 10 most intense peaks (2θ = 5–70°), in order of rising 2θ:
- 29.10°, d = 3.068 Å, I = 49.7
- 30.49°, d = 2.932 Å, I = 48.0
- 30.71°, d = 2.911 Å, I = 80.9
- 32.58°, d = 2.748 Å, I = 58.8
- 33.27°, d = 2.693 Å, I = 30.7
- 33.62°, d = 2.666 Å, I = 58.0
- 35.06°, d = 2.560 Å, I = 100.0
- 36.56°, d = 2.458 Å, I = 73.5
- 41.22°, d = 2.190 Å, I = 31.2
- 54.42°, d = 1.686 Å, I = 30.6

Entry 3:
The following is a simulated powder XRD pattern of Dy4TmNi2. It was derived from a GGA-PBE-relaxed structure, using copper Kα.
Peak positions follow from Bragg's law for the DFT cell and can differ from measured ones.

Atomic structure:
abc: 7.466 6.334 7.907
angles: 90.00 112.33 90.00
Atoms (fractional coordinates):
1 Dy 0.027 0.250 0.387
2 Dy 0.249 0.750 0.342
3 Dy 0.407 0.005 0.769
4 Dy 0.407 0.495 0.769
5 Dy 0.593 0.505 0.231
6 Dy 0.593 0.995 0.231
7 Dy 0.751 0.250 0.658
8 Dy 0.973 0.750 0.613
9 Tm 0.152 0.250 0.030
10 Tm 0.848 0.750 0.970
11 Ni 0.251 0.750 0.994
12 Ni 0.382 0.250 0.410
13 Ni 0.618 0.750 0.590
14 Ni 0.749 0.250 0.006

The 10 most intense peaks (2θ = 5–70°), in order of rising 2θ:
- 31.06°, d = 2.879 Å, I = 100.0
- 31.42°, d = 2.847 Å, I = 93.2
- 31.54°, d = 2.836 Å, I = 76.0
- 31.74°, d = 2.819 Å, I = 66.7
- 34.03°, d = 2.635 Å, I = 58.9
- 35.64°, d = 2.519 Å, I = 46.8
- 36.17°, d = 2.484 Å, I = 91.0
- 37.31°, d = 2.410 Å, I = 49.7
- 37.57°, d = 2.394 Å, I = 72.6
- 47.04°, d = 1.932 Å, I = 45.9

Entry 4:
The following is a simulated powder XRD pattern of Dy6Tm2Ni. It was derived from a GGA-PBE-relaxed structure, using copper Kα.
Peak positions follow from Bragg's law for the DFT cell and can differ from measured ones.

Atomic structure:
abc: 8.994 3.555 9.584
angles: 90.00 117.93 90.00
Atoms (fractional coordinates):
1 Dy 0.007 0.000 0.173
2 Dy 0.242 0.500 0.500
3 Dy 0.335 0.000 0.827
4 Dy 0.665 0.000 0.173
5 Dy 0.758 0.500 0.500
6 Dy 0.993 0.000 0.827
7 Tm 0.325 0.500 0.149
8 Tm 0.675 0.500 0.851
9 Ni 0.000 0.000 0.500

The 10 most intense peaks (2θ = 5–70°), in order of rising 2θ:
- 27.49°, d = 3.245 Å, I = 21.3
- 30.28°, d = 2.952 Å, I = 13.8
- 31.36°, d = 2.853 Å, I = 40.4
- 31.70°, d = 2.823 Å, I = 51.2
- 33.85°, d = 2.648 Å, I = 100.0
- 38.66°, d = 2.329 Å, I = 30.9
- 54.41°, d = 1.686 Å, I = 15.4
- 58.56°, d = 1.576 Å, I = 13.8
- 61.67°, d = 1.504 Å, I = 15.3
- 62.98°, d = 1.476 Å, I = 19.9

Entry 5:
The following is a simulated powder XRD pattern of DyTm3Ni8. It was derived from a GGA-PBE-relaxed structure, using copper Kα.
Peak positions follow from Bragg's law for the DFT cell and can differ from measured ones.

Atomic structure:
abc: 8.732 8.732 8.732
angles: 33.47 33.47 33.47
Atoms (fractional coordinates):
1 Dy 0.000 0.000 0.000
2 Tm 0.376 0.376 0.376
3 Tm 0.500 0.500 0.500
4 Tm 0.875 0.875 0.875
5 Ni 0.188 0.188 0.188
6 Ni 0.437 0.437 0.937
7 Ni 0.437 0.937 0.437
8 Ni 0.439 0.938 0.938
9 Ni 0.688 0.688 0.688
10 Ni 0.937 0.437 0.437
11 Ni 0.938 0.439 0.938
12 Ni 0.938 0.938 0.439

The 10 most intense peaks (2θ = 5–70°), in order of rising 2θ:
- 21.62°, d = 4.110 Å, I = 14.5
- 35.68°, d = 2.517 Å, I = 65.6
- 42.10°, d = 2.146 Å, I = 100.0
- 43.98°, d = 2.059 Å, I = 3.6
- 44.10°, d = 2.053 Å, I = 11.0
- 56.40°, d = 1.631 Å, I = 1.9
- 63.97°, d = 1.455 Å, I = 6.1
- 64.13°, d = 1.452 Å, I = 18.1
- 68.41°, d = 1.371 Å, I = 7.6
- 68.52°, d = 1.369 Å, I = 22.8

Entry 6:
The following is a simulated powder XRD pattern of Dy2UNi. It was derived from a GGA-PBE-relaxed structure, using copper Kα.
Peak positions follow from Bragg's law for the DFT cell and can differ from measured ones.

Atomic structure:
abc: 10.617 10.617 10.617
angles: 17.64 17.64 17.64
Atoms (fractional coordinates):
1 Dy 0.104 0.104 0.104
2 Dy 0.896 0.896 0.896
3 U 0.000 0.000 0.000
4 Ni 0.500 0.500 0.500

The 10 most intense peaks (2θ = 5–70°), in order of rising 2θ:
- 25.57°, d = 3.483 Å, I = 69.0
- 31.87°, d = 2.808 Å, I = 100.0
- 32.26°, d = 2.775 Å, I = 79.8
- 39.37°, d = 2.289 Å, I = 65.4
- 43.15°, d = 2.096 Å, I = 92.5
- 45.24°, d = 2.004 Å, I = 29.9
- 56.53°, d = 1.628 Å, I = 43.2
- 63.03°, d = 1.475 Å, I = 35.5
- 65.55°, d = 1.424 Å, I = 17.4
- 68.49°, d = 1.370 Å, I = 21.8

Entry 7:
The following is a simulated powder XRD pattern of DyZn6Ni6. It was derived from a GGA-PBE-relaxed structure, using copper Kα.
Peak positions follow from Bragg's law for the DFT cell and can differ from measured ones.

Atomic structure:
abc: 6.481 6.481 6.481
angles: 135.12 100.10 96.67
Atoms (fractional coordinates):
1 Dy 0.000 0.000 0.000
2 Zn 0.201 0.701 0.500
3 Zn 0.343 0.000 0.343
4 Zn 0.350 0.350 0.000
5 Zn 0.650 0.650 0.000
6 Zn 0.657 0.000 0.657
7 Zn 0.799 0.299 0.500
8 Ni 0.000 0.000 0.500
9 Ni 0.000 0.500 0.000
10 Ni 0.230 0.500 0.730
11 Ni 0.500 0.000 0.000
12 Ni 0.500 0.500 0.500
13 Ni 0.770 0.500 0.270

The 10 most intense peaks (2θ = 5–70°), in order of rising 2θ:
- 36.16°, d = 2.484 Å, I = 61.0
- 36.31°, d = 2.474 Å, I = 35.5
- 37.15°, d = 2.420 Å, I = 38.7
- 41.94°, d = 2.154 Å, I = 43.6
- 42.12°, d = 2.146 Å, I = 62.9
- 42.37°, d = 2.133 Å, I = 100.0
- 42.51°, d = 2.127 Å, I = 59.1
- 42.86°, d = 2.110 Å, I = 75.2
- 43.49°, d = 2.081 Å, I = 52.4
- 47.69°, d = 1.907 Å, I = 58.6

Entry 8:
The following is a simulated powder XRD pattern of Dy11Zn9Ni4. It was derived from a GGA-PBE-relaxed structure, using copper Kα.
Peak positions follow from Bragg's law for the DFT cell and can differ from measured ones.

Atomic structure:
abc: 12.460 12.460 3.536
angles: 90.00 90.00 112.96
Atoms (fractional coordinates):
1 Dy 0.000 0.000 0.000
2 Dy 0.073 0.414 0.000
3 Dy 0.167 0.833 0.000
4 Dy 0.302 0.302 0.000
5 Dy 0.372 0.628 0.000
6 Dy 0.414 0.073 0.000
7 Dy 0.586 0.927 0.000
8 Dy 0.628 0.372 0.000
9 Dy 0.698 0.698 0.000
10 Dy 0.833 0.167 0.000
11 Dy 0.927 0.586 0.000
12 Zn 0.075 0.217 0.500
13 Zn 0.164 0.632 0.500
14 Zn 0.217 0.075 0.500
15 Zn 0.368 0.836 0.500
16 Zn 0.500 0.500 0.500
17 Zn 0.632 0.164 0.500
18 Zn 0.783 0.925 0.500
19 Zn 0.836 0.368 0.500
20 Zn 0.925 0.783 0.500
21 Ni 0.249 0.448 0.500
22 Ni 0.448 0.249 0.500
23 Ni 0.552 0.751 0.500
24 Ni 0.751 0.552 0.500

The 10 most intense peaks (2θ = 5–70°), in order of rising 2θ:
- 25.19°, d = 3.536 Å, I = 20.4
- 25.73°, d = 3.463 Å, I = 18.6
- 25.90°, d = 3.440 Å, I = 21.0
- 34.55°, d = 2.596 Å, I = 23.2
- 36.31°, d = 2.474 Å, I = 97.6
- 36.44°, d = 2.466 Å, I = 100.0
- 36.83°, d = 2.441 Å, I = 75.2
- 38.78°, d = 2.322 Å, I = 27.6
- 51.71°, d = 1.768 Å, I = 31.5
- 65.16°, d = 1.432 Å, I = 27.6

Entry 9:
The following is a simulated powder XRD pattern of DyZn4Ni. It was derived from a GGA-PBE-relaxed structure, using copper Kα.
Peak positions follow from Bragg's law for the DFT cell and can differ from measured ones.

Atomic structure:
abc: 7.608 3.917 6.732
angles: 90.00 90.00 90.00
Atoms (fractional coordinates):
1 Dy 0.250 0.000 0.108
2 Dy 0.750 0.000 0.892
3 Zn 0.000 0.000 0.500
4 Zn 0.057 0.500 0.805
5 Zn 0.250 0.500 0.454
6 Zn 0.443 0.500 0.805
7 Zn 0.500 0.000 0.500
8 Zn 0.557 0.500 0.195
9 Zn 0.750 0.500 0.546
10 Zn 0.943 0.500 0.195
11 Ni 0.250 0.000 0.710
12 Ni 0.750 0.000 0.290

The 10 most intense peaks (2θ = 5–70°), in order of rising 2θ:
- 32.82°, d = 2.729 Å, I = 27.5
- 35.50°, d = 2.529 Å, I = 100.0
- 37.15°, d = 2.420 Å, I = 73.0
- 37.91°, d = 2.373 Å, I = 15.9
- 40.19°, d = 2.244 Å, I = 15.7
- 41.98°, d = 2.152 Å, I = 28.1
- 42.65°, d = 2.120 Å, I = 41.4
- 44.72°, d = 2.027 Å, I = 23.1
- 46.36°, d = 1.958 Å, I = 37.4
- 47.82°, d = 1.902 Å, I = 19.7

Entry 10:
The following is a simulated powder XRD pattern of Dy3Zn3Ni2. It was derived from a GGA-PBE-relaxed structure, using copper Kα.
Peak positions follow from Bragg's law for the DFT cell and can differ from measured ones.

Atomic structure:
abc: 7.377 15.644 5.378
angles: 90.00 90.00 90.00
Atoms (fractional coordinates):
1 Dy 0.038 0.107 0.118
2 Dy 0.038 0.393 0.118
3 Dy 0.166 0.250 0.638
4 Dy 0.334 0.750 0.138
5 Dy 0.462 0.607 0.618
6 Dy 0.462 0.893 0.618
7 Dy 0.538 0.107 0.382
8 Dy 0.538 0.393 0.382
9 Dy 0.666 0.250 0.862
10 Dy 0.834 0.750 0.362
11 Dy 0.962 0.607 0.882
12 Dy 0.962 0.893 0.882
13 Zn 0.175 0.033 0.603
14 Zn 0.175 0.467 0.603
15 Zn 0.175 0.750 0.631
16 Zn 0.325 0.250 0.131
17 Zn 0.325 0.533 0.103
18 Zn 0.325 0.967 0.103
19 Zn 0.675 0.033 0.897
20 Zn 0.675 0.467 0.897
21 Zn 0.675 0.750 0.869
22 Zn 0.825 0.250 0.369
23 Zn 0.825 0.533 0.397
24 Zn 0.825 0.967 0.397
25 Ni 0.117 0.614 0.379
26 Ni 0.117 0.886 0.379
27 Ni 0.383 0.114 0.879
28 Ni 0.383 0.386 0.879
29 Ni 0.617 0.614 0.121
30 Ni 0.617 0.886 0.121
31 Ni 0.883 0.114 0.621
32 Ni 0.883 0.386 0.621

The 10 most intense peaks (2θ = 5–70°), in order of rising 2θ:
- 30.75°, d = 2.907 Å, I = 72.0
- 33.39°, d = 2.684 Å, I = 95.1
- 34.39°, d = 2.607 Å, I = 42.3
- 35.53°, d = 2.527 Å, I = 38.6
- 36.01°, d = 2.494 Å, I = 77.6
- 37.45°, d = 2.401 Å, I = 100.0
- 39.64°, d = 2.274 Å, I = 72.8
- 40.33°, d = 2.236 Å, I = 72.9
- 42.60°, d = 2.122 Å, I = 43.2
- 54.84°, d = 1.674 Å, I = 34.5

Entry 11:
The following is a simulated powder XRD pattern of Dy2Zn12Ni5. It was derived from a GGA-PBE-relaxed structure, using copper Kα.
Peak positions follow from Bragg's law for the DFT cell and can differ from measured ones.

Atomic structure:
abc: 6.604 6.604 6.604
angles: 83.62 83.62 83.62
Atoms (fractional coordinates):
1 Dy 0.170 0.170 0.170
2 Dy 0.830 0.830 0.830
3 Zn 0.155 0.155 0.642
4 Zn 0.155 0.642 0.155
5 Zn 0.213 0.500 0.787
6 Zn 0.213 0.787 0.500
7 Zn 0.358 0.845 0.845
8 Zn 0.500 0.213 0.787
9 Zn 0.500 0.787 0.213
10 Zn 0.642 0.155 0.155
11 Zn 0.787 0.213 0.500
12 Zn 0.787 0.500 0.213
13 Zn 0.845 0.358 0.845
14 Zn 0.845 0.845 0.358
15 Ni 0.000 0.500 0.500
16 Ni 0.398 0.398 0.398
17 Ni 0.500 0.000 0.500
18 Ni 0.500 0.500 0.000
19 Ni 0.602 0.602 0.602

The 10 most intense peaks (2θ = 5–70°), in order of rising 2θ:
- 29.33°, d = 3.045 Å, I = 31.1
- 35.31°, d = 2.542 Å, I = 39.3
- 36.93°, d = 2.434 Å, I = 27.1
- 41.00°, d = 2.202 Å, I = 64.8
- 41.48°, d = 2.177 Å, I = 100.0
- 42.91°, d = 2.108 Å, I = 60.4
- 46.54°, d = 1.951 Å, I = 26.5
- 59.74°, d = 1.548 Å, I = 17.4
- 60.85°, d = 1.522 Å, I = 18.0
- 67.59°, d = 1.386 Å, I = 17.0